Diffraction record for CdI2. The X-ray diffraction stick pattern is calculated, not measured: it uses a PBE-relaxed structure and λ = 1.5418 Å (Cu Kα).
Neutral-atom scattering factors, no anomalous dispersion.

Principal peaks in the range 10° ≤ 2θ ≤ 90°, by intensity:
(0 1 10), 26.61°, I 100.0; (0 0 10), 11.90°, I 49.6; (1 1 0), 41.70°, I 46.8; (0 1 20), 33.94°, I 37.1; (1 0 30), 43.76°, I 27.7; (1 1 40), 66.24°, I 19.2; (2 0 10), 50.16°, I 17.1; (1 2 10), 67.21°, I 14.0; (1 1 10), 43.52°, I 12.0; (2 1 30), 77.56°, I 10.1; (0 2 30), 62.04°, I 9.6; (1 0 15), 29.86°, I 9.1

Unit cell a=4.3318 b=4.3318 c=74.3901 alpha=90.00 beta=90.00 gamma=120.00
Fractional positions:
Cd: 0.0000 0.0000 0.0000
Cd: 0.0000 0.0000 0.1000
Cd: 0.0000 0.0000 0.2000
Cd: 0.0000 0.0000 0.3000
Cd: 0.0000 0.0000 0.4000
Cd: 0.0000 0.0000 0.6000
Cd: 0.0000 0.0000 0.7000
Cd: 0.0000 0.0000 0.8000
Cd: 0.6667 0.3333 0.5000
Cd: 0.6667 0.3333 0.9000
I: 0.0000 0.0000 0.4768
I: 0.0000 0.0000 0.8768
I: 0.3333 0.6667 0.0232
I: 0.3333 0.6667 0.1232
I: 0.3333 0.6667 0.2232
I: 0.3333 0.6667 0.3232
I: 0.3333 0.6667 0.4232
I: 0.3333 0.6667 0.5232
I: 0.3333 0.6667 0.6232
I: 0.3333 0.6667 0.7232
I: 0.3333 0.6667 0.8232
I: 0.3333 0.6667 0.9232
I: 0.6667 0.3333 0.0768
I: 0.6667 0.3333 0.1768
I: 0.6667 0.3333 0.2768
I: 0.6667 0.3333 0.3768
I: 0.6667 0.3333 0.5768
I: 0.6667 0.3333 0.6768
I: 0.6667 0.3333 0.7768
I: 0.6667 0.3333 0.9768